1.
Diffraction record for Ac8TcNi2. The PXRD pattern is theoretical, not measured: it uses a structure optimized by DFT (PBE) and Cu Kα (weighted mean of Kα1 and Kα2).
Lines closer than 0.1° are merged.

```
Ac8TcNi2
1.0
6.7901 -3.8939 0.0000
6.7901 3.8939 0.0000
-0.1691 0.0000 7.7835
Ac Tc Ni
8 1 2
direct
0.2088 0.7141 0.7400
0.2159 0.2159 0.5958
0.2859 0.7912 0.2600
0.2939 0.2939 0.1121
0.7061 0.7061 0.8879
0.7141 0.2088 0.7400
0.7841 0.7841 0.4042
0.7912 0.2859 0.2600
0.5000 0.5000 0.0000
0.4071 0.4071 0.4438
0.5929 0.5929 0.5562
```

Principal peaks in the range 15° ≤ 2θ ≤ 90°, low angle first:
2θ = 26.28°, 3.392 Å, intensity 43; 2θ = 26.39°, 3.378 Å, intensity 100; 2θ = 26.58°, 3.354 Å, intensity 62; 2θ = 28.46°, 3.136 Å, intensity 31; 2θ = 28.93°, 3.087 Å, intensity 52; 2θ = 32.13°, 2.786 Å, intensity 22; 2θ = 32.53°, 2.753 Å, intensity 51; 2θ = 46.65°, 1.947 Å, intensity 23; 2θ = 48.17°, 1.889 Å, intensity 31; 2θ = 49.62°, 1.837 Å, intensity 20

2.
Diffraction record for Y5Mn2Co12. The PXRD pattern is theoretical, not measured: it uses a structure optimized by DFT (PBE) and Cu Kα (weighted mean of Kα1 and Kα2).
Lines closer than 0.1° are merged.

```
Y5Mn2Co12
1.0
4.9419 2.8532 3.6050
-4.9419 2.8532 3.6050
0.0000 -5.7064 3.6050
Y Mn Co
5 2 12
direct
0.0000 0.0000 0.5000
0.0000 0.5000 0.0000
0.1377 0.1377 0.1377
0.5000 0.0000 0.0000
0.8623 0.8623 0.8623
0.3876 0.3876 0.3876
0.6124 0.6124 0.6124
0.0000 0.3900 0.6100
0.0000 0.6100 0.3900
0.2534 0.6851 0.6851
0.3149 0.3149 0.7466
0.3149 0.7466 0.3149
0.3900 0.0000 0.6100
0.3900 0.6100 0.0000
0.6100 0.0000 0.3900
0.6100 0.3900 0.0000
0.6851 0.2534 0.6851
0.6851 0.6851 0.2534
0.7466 0.3149 0.3149
```

Principal peaks in the range 15° ≤ 2θ ≤ 90°, low angle first:
2θ = 28.80°, 3.099 Å, intensity 26; 2θ = 31.35°, 2.853 Å, intensity 23; 2θ = 34.80°, 2.578 Å, intensity 35; 2θ = 36.36°, 2.471 Å, intensity 100; 2θ = 40.31°, 2.237 Å, intensity 33; 2θ = 43.63°, 2.075 Å, intensity 58; 2θ = 44.45°, 2.038 Å, intensity 75; 2θ = 51.21°, 1.784 Å, intensity 28; 2θ = 54.24°, 1.691 Å, intensity 30; 2θ = 76.29°, 1.248 Å, intensity 19

3.
Diffraction record for Co3Ni2W2. The PXRD pattern is theoretical, not measured: it uses a structure optimized by DFT (PBE) and Cu Kα (weighted mean of Kα1 and Kα2).
Lines closer than 0.1° are merged.

```
Co3Ni2W2
1.0
-3.5620 3.5620 3.5620
3.5620 -3.5620 3.5620
3.5620 3.5620 -3.5620
Co Ni W
6 4 4
direct
0.0003 0.2503 0.7500
0.2497 0.2500 0.4997
0.2500 0.4997 0.2497
0.2503 0.7500 0.0003
0.4997 0.2497 0.2500
0.7500 0.0003 0.2503
0.0000 0.8635 0.5000
0.5000 0.0000 0.8635
0.6365 0.6365 0.6365
0.8635 0.5000 0.0000
0.0000 0.4940 0.5000
0.0060 0.0060 0.0060
0.4940 0.5000 0.0000
0.5000 0.0000 0.4940
```

Principal peaks in the range 15° ≤ 2θ ≤ 90°, low angle first:
2θ = 25.00°, 3.562 Å, intensity 44; 2θ = 35.65°, 2.519 Å, intensity 100; 2θ = 40.02°, 2.253 Å, intensity 19; 2θ = 44.03°, 2.057 Å, intensity 77; 2θ = 47.77°, 1.904 Å, intensity 20; 2θ = 51.30°, 1.781 Å, intensity 39; 2θ = 57.89°, 1.593 Å, intensity 39; 2θ = 64.03°, 1.454 Å, intensity 27; 2θ = 75.49°, 1.259 Å, intensity 26; 2θ = 80.98°, 1.187 Å, intensity 21

4.
Diffraction record for NdUB12. The PXRD pattern is theoretical, not measured: it uses a structure optimized by DFT (PBE) and Cu Kα (weighted mean of Kα1 and Kα2).
Lines closer than 0.1° are merged.

```
NdUB12
1.0
4.1023 0.0000 0.0000
0.0000 4.1023 0.0000
0.0000 0.0000 8.2158
Nd U B
1 1 12
direct
0.0000 0.0000 0.0000
0.0000 0.0000 0.5000
0.1983 0.5000 0.2519
0.1983 0.5000 0.7481
0.5000 0.1983 0.2519
0.5000 0.1983 0.7481
0.5000 0.5000 0.1001
0.5000 0.5000 0.4017
0.5000 0.5000 0.5983
0.5000 0.5000 0.8999
0.5000 0.8017 0.2519
0.5000 0.8017 0.7481
0.8017 0.5000 0.2519
0.8017 0.5000 0.7481
```

Principal peaks in the range 15° ≤ 2θ ≤ 90°, low angle first:
2θ = 21.65°, 4.104 Å, intensity 75; 2θ = 30.81°, 2.902 Å, intensity 100; 2θ = 37.97°, 2.370 Å, intensity 42; 2θ = 44.13°, 2.052 Å, intensity 21; 2θ = 49.67°, 1.835 Å, intensity 51; 2θ = 54.79°, 1.676 Å, intensity 31; 2θ = 68.60°, 1.368 Å, intensity 26; 2θ = 72.86°, 1.298 Å, intensity 14; 2θ = 77.07°, 1.237 Å, intensity 14; 2θ = 89.31°, 1.097 Å, intensity 20

5.
Diffraction record for Th4Cu3Sb8. The PXRD pattern is theoretical, not measured: it uses a structure optimized by DFT (PBE) and Cu Kα (weighted mean of Kα1 and Kα2).
Lines closer than 0.1° are merged.

```
Th4Cu3Sb8
1.0
4.4421 0.0000 0.0000
0.0000 4.4421 0.0000
0.0000 0.0000 19.3467
Th Cu Sb
4 3 8
direct
0.0000 0.5000 0.1175
0.0000 0.5000 0.6269
0.5000 0.0000 0.3731
0.5000 0.0000 0.8825
0.0000 0.0000 0.0000
0.0000 0.0000 0.5000
0.5000 0.5000 0.5000
0.0000 0.0000 0.2463
0.0000 0.0000 0.7537
0.0000 0.5000 0.4205
0.0000 0.5000 0.9271
0.5000 0.0000 0.0729
0.5000 0.0000 0.5795
0.5000 0.5000 0.2460
0.5000 0.5000 0.7540
```

Principal peaks in the range 15° ≤ 2θ ≤ 90°, low angle first:
2θ = 22.02°, 4.037 Å, intensity 24; 2θ = 29.91°, 2.987 Å, intensity 16; 2θ = 34.03°, 2.634 Å, intensity 100; 2θ = 34.37°, 2.609 Å, intensity 32; 2θ = 40.62°, 2.221 Å, intensity 44; 2θ = 51.52°, 1.774 Å, intensity 18; 2θ = 54.23°, 1.691 Å, intensity 18; 2θ = 58.80°, 1.571 Å, intensity 15; 2θ = 67.59°, 1.386 Å, intensity 16; 2θ = 69.71°, 1.349 Å, intensity 25

6.
Diffraction record for CsNa3Te3. The PXRD pattern is theoretical, not measured: it uses a structure optimized by DFT (PBE) and Cu Kα (weighted mean of Kα1 and Kα2).
Lines closer than 0.1° are merged.

```
CsNa3Te3
1.0
8.5445 0.0000 0.0000
0.0000 8.5445 0.0000
0.0000 0.0000 8.5445
Cs Na Te
2 6 6
direct
0.0000 0.0000 0.0000
0.5000 0.5000 0.5000
0.0000 0.2500 0.5000
0.0000 0.7500 0.5000
0.2500 0.5000 0.0000
0.5000 0.0000 0.2500
0.5000 0.0000 0.7500
0.7500 0.5000 0.0000
0.0000 0.5000 0.2500
0.0000 0.5000 0.7500
0.2500 0.0000 0.5000
0.5000 0.2500 0.0000
0.5000 0.7500 0.0000
0.7500 0.0000 0.5000
```

Principal peaks in the range 15° ≤ 2θ ≤ 90°, low angle first:
2θ = 20.79°, 4.272 Å, intensity 41; 2θ = 23.28°, 3.821 Å, intensity 64; 2θ = 25.54°, 3.488 Å, intensity 100; 2θ = 37.97°, 2.370 Å, intensity 18; 2θ = 39.46°, 2.284 Å, intensity 62; 2θ = 42.31°, 2.136 Å, intensity 27; 2θ = 47.59°, 1.911 Å, intensity 18; 2θ = 59.23°, 1.560 Å, intensity 19; 2θ = 61.38°, 1.510 Å, intensity 18; 2θ = 67.58°, 1.386 Å, intensity 19

7.
Diffraction record for FeCo2ReH. The PXRD pattern is theoretical, not measured: it uses a structure optimized by DFT (PBE) and Cu Kα (weighted mean of Kα1 and Kα2).
Lines closer than 0.1° are merged.

```
FeCo2ReH
1.0
3.5932 0.0000 0.0000
0.0000 3.5932 0.0000
0.0000 0.0000 3.8082
Fe Co Re H
1 2 1 1
direct
0.0000 0.0000 0.0000
0.0000 0.5000 0.5000
0.5000 0.0000 0.5000
0.5000 0.5000 0.0000
0.5000 0.5000 0.5000
```

Principal peaks in the range 15° ≤ 2θ ≤ 90°, low angle first:
2θ = 23.36°, 3.808 Å, intensity 12; 2θ = 24.78°, 3.593 Å, intensity 25; 2θ = 34.31°, 2.613 Å, intensity 21; 2θ = 35.33°, 2.541 Å, intensity 9; 2θ = 42.78°, 2.114 Å, intensity 100; 2θ = 47.77°, 1.904 Å, intensity 18; 2θ = 50.82°, 1.797 Å, intensity 30; 2θ = 72.31°, 1.307 Å, intensity 20; 2θ = 74.73°, 1.270 Å, intensity 10; 2θ = 85.51°, 1.136 Å, intensity 15

8.
Diffraction record for KTe2O6. The PXRD pattern is theoretical, not measured: it uses a structure optimized by DFT (PBE) and Cu Kα (weighted mean of Kα1 and Kα2).
Lines closer than 0.1° are merged.

```
KTe2O6
1.0
0.0000 5.2437 5.2437
5.2437 0.0000 5.2437
5.2437 5.2437 0.0000
K Te O
2 4 12
direct
0.1250 0.1250 0.1250
0.8750 0.8750 0.8750
0.0000 0.5000 0.5000
0.5000 0.0000 0.5000
0.5000 0.5000 0.0000
0.5000 0.5000 0.5000
0.1791 0.1791 0.5709
0.1791 0.5709 0.1791
0.1791 0.5709 0.5709
0.4291 0.4291 0.8209
0.4291 0.8209 0.4291
0.4291 0.8209 0.8209
0.5709 0.1791 0.1791
0.5709 0.1791 0.5709
0.5709 0.5709 0.1791
0.8209 0.4291 0.4291
0.8209 0.4291 0.8209
0.8209 0.8209 0.4291
```

Principal peaks in the range 15° ≤ 2θ ≤ 90°, low angle first:
2θ = 28.22°, 3.162 Å, intensity 100; 2θ = 29.50°, 3.027 Å, intensity 73; 2θ = 44.91°, 2.018 Å, intensity 31; 2θ = 49.14°, 1.854 Å, intensity 46; 2θ = 51.56°, 1.773 Å, intensity 17; 2θ = 57.64°, 1.599 Å, intensity 14; 2θ = 58.37°, 1.581 Å, intensity 31; 2θ = 63.33°, 1.469 Å, intensity 12; 2θ = 68.75°, 1.365 Å, intensity 23; 2θ = 79.71°, 1.203 Å, intensity 13